# 1
Simulated powder diffraction line list of Mg2In3Ga2 for CuKα, from a DFT-relaxed cell (PBE, Alexandria).
No peak broadening, texture or thermal motion is included.

```
Mg2In3Ga2
1.0
3.194 0.000 0.000
0.000 5.040 0.000
0.000 0.000 20.336
Mg In Ga
4 6 4
Cartesian
0.000 0.000 2.856
0.000 0.000 17.480
1.597 2.520 7.312
1.597 2.520 13.024
0.000 0.000 6.023
0.000 0.000 14.313
0.000 2.520 10.168
1.597 0.000 0.000
1.597 2.520 4.145
1.597 2.520 16.192
0.000 2.520 1.363
0.000 2.520 18.974
1.597 0.000 8.805
1.597 0.000 11.531
```

Principal peaks in the range 10° ≤ 2θ ≤ 90°, most intense first:
35.7 deg, intensity 1000
34.4 deg, intensity 921
35.7 deg, intensity 453
22.0 deg, intensity 342
51.4 deg, intensity 312
69.7 deg, intensity 269
64.0 deg, intensity 151
63.2 deg, intensity 150
17.4 deg, intensity 145
65.0 deg, intensity 129



# 2
Simulated powder diffraction line list of HoMgHg6 for CuKα, from a DFT-relaxed cell (PBE, Alexandria).
No peak broadening, texture or thermal motion is included.

```
HoMgHg6
1.0
4.953 0.000 0.000
0.000 6.973 0.000
0.000 0.000 10.926
Ho Mg Hg
2 2 12
Cartesian
0.000 0.000 0.000
0.000 3.486 5.463
2.477 0.000 3.020
2.477 3.486 8.483
0.000 0.000 5.112
0.000 1.676 8.055
0.000 1.811 2.592
0.000 3.486 10.575
0.000 5.162 2.592
0.000 5.297 8.055
2.477 0.000 8.883
2.477 1.624 5.983
2.477 1.862 0.520
2.477 3.486 3.420
2.477 5.111 0.520
2.477 5.349 5.983
```

Principal peaks in the range 10° ≤ 2θ ≤ 90°, most intense first:
35.5 deg, intensity 1000
36.3 deg, intensity 293
37.6 deg, intensity 277
64.8 deg, intensity 178
32.8 deg, intensity 161
30.4 deg, intensity 157
69.5 deg, intensity 138
57.1 deg, intensity 123
49.7 deg, intensity 102
66.4 deg, intensity 101



# 3
Simulated powder diffraction line list of Ho3IrO7 for CuKα, from a DFT-relaxed cell (PBE, Alexandria).
No peak broadening, texture or thermal motion is included.

```
Ho3IrO7
1.0
3.746 -5.240 0.000
3.746 5.240 0.000
0.000 0.000 7.369
Ho Ir O
6 2 14
Cartesian
0.199 0.000 0.000
1.998 2.443 1.874
1.998 -2.443 5.495
5.494 2.443 1.810
5.494 -2.443 5.559
7.293 0.000 3.685
3.742 0.000 0.000
3.750 0.000 3.685
3.746 3.864 5.527
3.746 3.804 1.842
2.217 1.286 7.186
2.333 1.328 3.926
2.217 -1.286 0.184
3.746 0.780 1.842
2.333 -1.328 3.443
5.159 1.328 7.128
3.746 -0.780 5.527
5.275 1.286 3.869
5.159 -1.328 0.241
5.275 -1.286 3.501
3.746 -3.804 5.527
3.746 -3.864 1.842
```

Principal peaks in the range 10° ≤ 2θ ≤ 90°, most intense first:
29.3 deg, intensity 1000
29.6 deg, intensity 981
34.2 deg, intensity 711
49.1 deg, intensity 559
58.5 deg, intensity 412
58.0 deg, intensity 249
49.5 deg, intensity 159
48.6 deg, intensity 129
58.3 deg, intensity 119
79.9 deg, intensity 104



# 4
Simulated powder diffraction line list of NaTiP3 for CuKα, from a DFT-relaxed cell (PBE, Alexandria).
No peak broadening, texture or thermal motion is included.

```
NaTiP3
1.0
4.738 0.000 0.000
0.000 4.738 0.000
0.000 0.000 4.738
Na Ti P
1 1 3
Cartesian
0.000 0.000 0.000
2.369 2.369 2.369
0.000 2.369 2.369
2.369 0.000 2.369
2.369 2.369 0.000
```

Principal peaks in the range 10° ≤ 2θ ≤ 90°, most intense first:
38.0 deg, intensity 1000
18.7 deg, intensity 775
54.8 deg, intensity 630
32.7 deg, intensity 370
26.6 deg, intensity 334
42.7 deg, intensity 295
68.6 deg, intensity 206
58.4 deg, intensity 135
65.3 deg, intensity 134
47.0 deg, intensity 134



# 5
Simulated powder diffraction line list of Sm10Se19 for CuKα, from a DFT-relaxed cell (PBE, Alexandria).
No peak broadening, texture or thermal motion is included.

```
Sm10Se19
1.0
9.234 0.000 0.000
0.000 9.234 0.000
0.000 0.000 16.892
Sm Se
20 38
Cartesian
0.405 3.208 2.015
0.487 3.252 10.249
1.365 0.487 15.089
1.409 0.405 6.431
2.309 6.926 1.975
2.309 6.926 10.421
3.208 4.213 6.431
3.252 4.130 15.089
4.130 1.365 10.249
4.213 1.409 2.015
5.022 7.825 14.878
5.104 7.869 6.643
5.982 5.104 1.803
6.026 5.022 10.461
6.926 2.309 6.471
6.926 2.309 14.917
7.825 8.830 10.461
7.869 8.747 1.803
8.747 5.982 6.643
8.830 6.026 14.878
0.272 7.654 4.225
0.451 3.212 7.262
0.484 3.235 15.825
0.592 8.118 12.680
1.117 5.209 4.233
1.383 0.484 9.514
1.406 0.451 1.184
1.580 4.889 12.671
2.309 2.309 4.223
2.309 6.926 7.367
2.309 6.926 15.813
3.037 8.962 12.671
3.212 4.167 1.184
3.235 4.133 9.514
3.500 8.643 4.233
4.025 5.734 12.680
4.133 1.383 15.825
4.167 1.406 7.262
4.345 6.197 4.225
4.889 3.037 12.668
5.068 7.829 9.630
5.101 7.852 1.068
5.209 3.500 4.213
5.734 0.592 12.659
6.000 5.101 7.379
6.023 5.068 15.708
6.197 0.272 4.222
6.926 2.309 1.079
6.926 2.309 9.525
6.926 6.926 12.669
7.654 4.345 4.222
7.829 8.784 15.708
7.852 8.750 7.379
8.118 4.025 12.659
8.643 1.117 4.213
8.750 6.000 1.068
8.784 6.023 9.630
8.962 1.580 12.668
```

Principal peaks in the range 10° ≤ 2θ ≤ 90°, most intense first:
37.4 deg, intensity 1000
38.7 deg, intensity 643
32.4 deg, intensity 630
43.8 deg, intensity 574
24.0 deg, intensity 533
30.6 deg, intensity 493
76.4 deg, intensity 357
59.9 deg, intensity 355
31.8 deg, intensity 319
55.2 deg, intensity 232



# 6
Simulated powder diffraction line list of Ba2ZnCd6Cu for CuKα, from a DFT-relaxed cell (PBE, Alexandria).
No peak broadening, texture or thermal motion is included.

```
Ba2ZnCd6Cu
1.0
0.000 5.228 5.232
5.226 0.000 5.232
5.226 5.228 0.000
Ba Zn Cd Cu
2 1 6 1
Cartesian
2.613 2.614 2.616
7.838 7.841 7.849
0.000 0.000 0.000
5.226 5.228 2.660
5.226 2.658 5.232
7.795 5.228 5.232
2.656 5.228 5.232
5.226 7.797 5.232
5.226 5.228 7.805
5.226 5.228 5.232
```

Principal peaks in the range 10° ≤ 2θ ≤ 90°, most intense first:
29.6 deg, intensity 1000
34.3 deg, intensity 919
49.3 deg, intensity 638
58.6 deg, intensity 413
82.5 deg, intensity 228
61.4 deg, intensity 214
80.0 deg, intensity 167
24.1 deg, intensity 117
72.3 deg, intensity 65
17.0 deg, intensity 52



# 7
Simulated powder diffraction line list of Dy2Ho5Sc4 for CuKα, from a DFT-relaxed cell (PBE, Alexandria).
No peak broadening, texture or thermal motion is included.

```
Dy2Ho5Sc4
1.0
8.661 0.000 0.000
0.000 3.497 0.000
-0.913 0.000 10.683
Dy Ho Sc
2 5 4
Cartesian
0.526 0.000 1.462
7.222 0.000 9.221
0.702 0.000 6.765
3.773 0.000 1.790
3.874 0.000 5.342
3.976 0.000 8.894
7.046 0.000 3.919
1.403 1.749 3.968
1.308 1.749 9.894
6.440 1.749 0.789
6.345 1.749 6.715
```

Principal peaks in the range 10° ≤ 2θ ≤ 90°, most intense first:
25.5 deg, intensity 1000
31.1 deg, intensity 631
32.8 deg, intensity 527
33.0 deg, intensity 497
40.6 deg, intensity 443
31.8 deg, intensity 378
31.5 deg, intensity 301
36.0 deg, intensity 299
34.3 deg, intensity 269
33.6 deg, intensity 267



# 8
Simulated powder diffraction line list of Y2Fe17C for CuKα, from a DFT-relaxed cell (PBE, Alexandria).
No peak broadening, texture or thermal motion is included.

```
Y2Fe17C
1.0
4.802 -4.308 0.000
4.802 4.308 0.000
-0.986 0.000 6.340
Y Fe C
2 17 1
Cartesian
1.197 0.000 2.215
7.422 0.000 4.126
2.401 2.154 0.000
3.530 2.125 2.188
0.669 0.000 5.386
2.715 1.250 4.500
4.802 2.462 0.000
5.089 2.125 4.152
3.776 0.000 0.618
5.904 1.250 1.840
2.401 -2.154 0.000
4.309 0.000 3.170
2.715 -1.250 4.500
4.843 0.000 5.722
3.530 -2.125 2.188
4.802 -2.462 0.000
5.904 -1.250 1.840
7.949 0.000 0.954
5.089 -2.125 4.152
0.000 0.000 0.000
```

Principal peaks in the range 10° ≤ 2θ ≤ 90°, most intense first:
42.5 deg, intensity 1000
44.0 deg, intensity 750
42.2 deg, intensity 716
42.7 deg, intensity 534
47.9 deg, intensity 520
37.9 deg, intensity 452
41.9 deg, intensity 380
36.2 deg, intensity 346
47.7 deg, intensity 249
79.9 deg, intensity 215